Computed powder X-ray diffraction pattern
Compound: TmCo2BP
Radiation: copper Kα
Structure: a cell relaxed with GGA-PBE
No peak broadening, texture or thermal motion is included.

The 8 most intense peaks (5 to 70 degrees two-theta), by angle:
hkl  d/Å  2theta  I/Imax
1 0 1  3.393  26.26  69
1 0 3  2.343  38.41  50
0 0 4  2.291  39.32  19
1 1 2  2.250  40.07  100
2 0 0  1.826  49.93  33
2 1 1  1.608  57.29  17
2 1 3  1.441  64.71  21
2 0 4  1.428  65.34  17

Cell and atoms:
```
data_TmCo2BP
_cell_length_a 3.653
_cell_length_b 3.653
_cell_length_c 9.165
_cell_angle_alpha 90.00
_cell_angle_beta 90.00
_cell_angle_gamma 90.00
_symmetry_space_group_name_H-M 'P 1'
_symmetry_Int_Tables_number 1
_symmetry_space_group_name_Hall 'P 1'
loop_
_atom_site_label
_atom_site_fract_x
_atom_site_fract_y
_atom_site_fract_z
_atom_site_occupancy
Tm1 0.000 0.000 0.000 1
Tm2 0.500 0.500 0.500 1
Co1 0.000 0.500 0.237 1
Co2 0.000 0.500 0.737 1
Co3 0.500 0.000 0.237 1
Co4 0.500 0.000 0.737 1
B1 0.000 0.000 0.625 1
B2 0.500 0.500 0.125 1
P1 0.000 0.000 0.375 1
P2 0.500 0.500 0.875 1
```